This entry pairs a crystal structure of MgSi with its simulated powder X-ray diffraction pattern. Radiation: CuKα. Structure: a cell relaxed with PBE.
Intensities are scaled so that the largest is 100.

Structure:
```
MgSi
1.0
4.5166 0.0000 0.0000
-1.9193 5.0777 0.0000
-2.1633 -1.4888 9.5838
Mg Si
6 6
direct
0.0446 0.1739 0.3867 Mg
0.2741 0.8769 0.1768 Mg
0.3410 0.4735 0.7128 Mg
0.6590 0.5265 0.2872 Mg
0.7259 0.1231 0.8232 Mg
0.9554 0.8261 0.6133 Mg
0.0760 0.7565 0.8890 Si
0.3368 0.7703 0.4412 Si
0.3618 0.2584 0.9909 Si
0.6382 0.7416 0.0091 Si
0.6632 0.2297 0.5588 Si
0.9240 0.2435 0.1110 Si
```

Largest 10 diffraction maxima, by angle, 2θ from 10° to 80°:
34.17°, intensity 10; 35.79°, intensity 15; 36.72°, intensity 31; 37.84°, intensity 30; 38.34°, intensity 100; 39.06°, intensity 25; 40.02°, intensity 53; 54.55°, intensity 11; 68.19°, intensity 11; 71.58°, intensity 14

=====

This entry pairs a crystal structure of Ho4MgRh with its simulated powder X-ray diffraction pattern. Radiation: CuKα. Structure: a cell relaxed with PBE.
Intensities are scaled so that the largest is 100.

Structure:
```
Ho4MgRh
1.0
0.0000 6.8353 6.8353
6.8353 0.0000 6.8353
6.8353 6.8353 0.0000
Ho Mg Rh
16 4 4
direct
0.1852 0.1852 0.8148 Ho
0.1852 0.8148 0.1852 Ho
0.1852 0.8148 0.8148 Ho
0.4032 0.4032 0.4032 Ho
0.4032 0.4032 0.7903 Ho
0.4032 0.7903 0.4032 Ho
0.5625 0.5625 0.9375 Ho
0.5625 0.9375 0.5625 Ho
0.5625 0.9375 0.9375 Ho
0.7903 0.4032 0.4032 Ho
0.8148 0.1852 0.1852 Ho
0.8148 0.1852 0.8148 Ho
0.8148 0.8148 0.1852 Ho
0.9375 0.5625 0.5625 Ho
0.9375 0.5625 0.9375 Ho
0.9375 0.9375 0.5625 Ho
0.1706 0.1706 0.1706 Mg
0.1706 0.1706 0.4883 Mg
0.1706 0.4883 0.1706 Mg
0.4883 0.1706 0.1706 Mg
0.1746 0.6085 0.6085 Rh
0.6085 0.1746 0.6085 Rh
0.6085 0.6085 0.1746 Rh
0.6085 0.6085 0.6085 Rh
```

Largest 10 diffraction maxima, by angle, 2θ from 10° to 80°:
11.21°, intensity 22; 28.46°, intensity 46; 32.07°, intensity 57; 34.08°, intensity 100; 37.21°, intensity 32; 54.98°, intensity 15; 57.18°, intensity 53; 58.47°, intensity 15; 68.26°, intensity 12; 71.37°, intensity 12

=====

This entry pairs a crystal structure of Ba5Ru2ClO9 with its simulated powder X-ray diffraction pattern. Radiation: CuKα. Structure: a cell relaxed with PBE.
Intensities are scaled so that the largest is 100.

Structure:
```
Ba5Ru2ClO9
1.0
3.0594 -5.3809 0.0000
3.0594 5.3809 0.0000
0.0000 0.0000 18.3269
Ba Ru Cl O
10 4 2 18
direct
0.0073 0.9927 0.5000 Ba
0.0097 0.9903 0.8052 Ba
0.3293 0.6707 0.6751 Ba
0.3321 0.6679 0.9024 Ba
0.3419 0.6581 0.1304 Ba
0.6581 0.3419 0.6304 Ba
0.6679 0.3321 0.4024 Ba
0.6707 0.3293 0.1751 Ba
0.9903 0.0097 0.3052 Ba
0.9927 0.0073 0.0000 Ba
0.3262 0.6738 0.4778 Ru
0.3388 0.6612 0.3276 Ru
0.6612 0.3388 0.8276 Ru
0.6738 0.3262 0.9778 Ru
0.0426 0.9574 0.1527 Cl
0.9574 0.0426 0.6527 Cl
0.0138 0.5346 0.5342 O
0.0380 0.4902 0.2675 O
0.1806 0.3670 0.4049 O
0.1830 0.8170 0.3982 O
0.3670 0.1806 0.9049 O
0.4654 0.9862 0.5342 O
0.4726 0.5274 0.5396 O
0.4902 0.0380 0.7675 O
0.4968 0.5032 0.2728 O
0.5032 0.4968 0.7728 O
0.5098 0.9620 0.2675 O
0.5274 0.4726 0.0396 O
0.5346 0.0138 0.0342 O
0.6330 0.8194 0.4049 O
0.8170 0.1830 0.8982 O
0.8194 0.6330 0.9049 O
0.9620 0.5098 0.7675 O
0.9862 0.4654 0.0342 O
```

Largest 10 diffraction maxima, by angle, 2θ from 10° to 80°:
25.66°, intensity 29; 28.85°, intensity 100; 29.20°, intensity 63; 29.49°, intensity 19; 29.60°, intensity 37; 39.16°, intensity 23; 41.54°, intensity 27; 41.97°, intensity 19; 51.52°, intensity 28; 59.77°, intensity 19

=====

This entry pairs a crystal structure of Li4Si4Bi2O13 with its simulated powder X-ray diffraction pattern. Radiation: CuKα. Structure: a cell relaxed with PBE.
Intensities are scaled so that the largest is 100.

Structure:
```
Li4Si4Bi2O13
1.0
7.1010 0.0000 0.0000
1.7015 8.9630 0.0000
0.0862 4.0412 9.4333
Li Si Bi O
8 8 4 26
direct
0.0566 0.1138 0.4010 Li
0.0657 0.1257 0.0223 Li
0.3079 0.8297 0.9810 Li
0.3582 0.9205 0.5773 Li
0.6418 0.0795 0.4227 Li
0.6921 0.1703 0.0190 Li
0.9343 0.8743 0.9777 Li
0.9434 0.8862 0.5990 Li
0.1466 0.1038 0.7208 Si
0.1945 0.6683 0.2836 Si
0.2105 0.6504 0.8150 Si
0.3984 0.9689 0.2611 Si
0.6016 0.0311 0.7389 Si
0.7895 0.3496 0.1850 Si
0.8055 0.3317 0.7164 Si
0.8534 0.8962 0.2792 Si
0.2979 0.3411 0.1317 Bi
0.3344 0.4412 0.6484 Bi
0.6656 0.5588 0.3516 Bi
0.7021 0.6589 0.8683 Bi
0.0006 0.2819 0.1463 O
0.0322 0.3065 0.6659 O
0.1075 0.0180 0.8845 O
0.1076 0.0315 0.6070 O
0.2043 0.6795 0.6425 O
0.2135 0.6571 0.1330 O
0.2795 0.8226 0.2898 O
0.2848 0.4488 0.8949 O
0.3329 0.5065 0.4101 O
0.3477 0.1070 0.0992 O
0.3591 0.0570 0.3718 O
0.3725 0.7427 0.8415 O
0.3750 0.1344 0.7113 O
0.6250 0.8656 0.2887 O
0.6275 0.2573 0.1585 O
0.6409 0.9430 0.6282 O
0.6523 0.8930 0.9008 O
0.6671 0.4935 0.5899 O
0.7152 0.5512 0.1051 O
0.7205 0.1774 0.7102 O
0.7865 0.3429 0.8670 O
0.7957 0.3205 0.3575 O
0.8924 0.9685 0.3930 O
0.8925 0.9820 0.1155 O
0.9678 0.6935 0.3341 O
0.9994 0.7181 0.8537 O
```

Largest 10 diffraction maxima, by angle, 2θ from 10° to 80°:
10.74°, intensity 100; 17.61°, intensity 47; 18.25°, intensity 42; 21.29°, intensity 35; 21.56°, intensity 38; 22.01°, intensity 48; 25.60°, intensity 36; 25.74°, intensity 42; 26.62°, intensity 40; 30.11°, intensity 39